The following is a simulated powder diffraction line list of Li2Cr3O6. It was derived from a crystal structure in Alexandria, relaxed with PBE+U, using CuKα.
No peak broadening, texture or thermal motion is included.

Crystal structure
Lattice parameters (Å, degrees): 9.5060 8.8082 5.3567 80.29 65.97 33.74
Positions (direct):
Li: 0.0446 0.0446 0.7054
Li: 0.2946 0.2946 0.9554
Li: 0.7054 0.7054 0.0446
Li: 0.9554 0.9554 0.2946
Cr: 0.1250 0.1250 0.1250
Cr: 0.2102 0.2102 0.5398
Cr: 0.4602 0.4602 0.7898
Cr: 0.5398 0.5398 0.2102
Cr: 0.7898 0.7898 0.4602
Cr: 0.8750 0.8750 0.8750
O: 0.0002 0.4178 0.3068
O: 0.9998 0.5822 0.6932
O: 0.0931 0.6569 0.0931
O: 0.2248 0.6932 0.5822
O: 0.3068 0.7752 0.0002
O: 0.3431 0.9069 0.3431
O: 0.4178 0.0002 0.7752
O: 0.5822 0.9998 0.2248
O: 0.6569 0.0931 0.6569
O: 0.6932 0.2248 0.9998
O: 0.7752 0.3068 0.4178
O: 0.9069 0.3431 0.9069

Principal peaks in the range 5° ≤ 2θ ≤ 70°, by angle:
| 2θ/deg | I (rel.) |
| --- | --- |
| 24.51 | 100.0 |
| 37.32 | 10.6 |
| 37.50 | 6.9 |
| 37.90 | 6.6 |
| 39.58 | 26.7 |
| 45.81 | 39.9 |
| 52.33 | 10.2 |
| 52.94 | 9.8 |
| 55.53 | 14.7 |
| 62.12 | 22.5 |